CeTl2F5: calculated powder XRD pattern (Cu Kα, 1.54184 Å), based on DFT lattice parameters and positions (PBE).

The 6 most intense peaks (2θ from 10° to 90°), sorted by position:
- 2θ 25.26, intensity 52
- 2θ 26.35, intensity 100
- 2θ 27.19, intensity 67
- 2θ 27.53, intensity 38
- 2θ 35.08, intensity 44
- 2θ 54.19, intensity 43

Atomic structure:
Lattice parameters (Å, degrees): 11.568 7.822 7.051 90.00 90.00 90.00
Positions (direct):
1 Ce 0.002 0.250 0.056
2 Ce 0.498 0.750 0.556
3 Ce 0.502 0.250 0.444
4 Ce 0.998 0.750 0.944
5 Tl 0.170 0.003 0.519
6 Tl 0.170 0.497 0.519
7 Tl 0.330 0.503 0.019
8 Tl 0.330 0.997 0.019
9 Tl 0.670 0.003 0.981
10 Tl 0.670 0.497 0.981
11 Tl 0.830 0.503 0.481
12 Tl 0.830 0.997 0.481
13 F 0.018 0.250 0.388
14 F 0.072 0.533 0.147
15 F 0.072 0.967 0.147
16 F 0.168 0.250 0.879
17 F 0.191 0.750 0.850
18 F 0.309 0.250 0.350
19 F 0.332 0.750 0.379
20 F 0.428 0.033 0.647
21 F 0.428 0.467 0.647
22 F 0.482 0.750 0.888
23 F 0.518 0.250 0.112
24 F 0.572 0.533 0.353
25 F 0.572 0.967 0.353
26 F 0.668 0.250 0.621
27 F 0.691 0.750 0.650
28 F 0.809 0.250 0.150
29 F 0.832 0.750 0.121
30 F 0.928 0.033 0.853
31 F 0.928 0.467 0.853
32 F 0.982 0.750 0.612

=====

CeTl2F8: calculated powder XRD pattern (Cu Kα, 1.54184 Å), based on DFT lattice parameters and positions (PBE).

The 6 most intense peaks (2θ from 10° to 90°), sorted by position:
- 2θ 24.03, intensity 100
- 2θ 34.23, intensity 10
- 2θ 42.30, intensity 36
- 2θ 49.29, intensity 11
- 2θ 55.40, intensity 10
- 2θ 66.94, intensity 12

Atomic structure:
Lattice parameters (Å, degrees): 7.395 7.395 4.553 90.00 90.00 120.00
Positions (direct):
1 Ce 0.000 0.000 0.000
2 Tl 0.333 0.667 0.720
3 Tl 0.667 0.333 0.280
4 F 0.145 0.290 0.751
5 F 0.145 0.855 0.751
6 F 0.290 0.145 0.249
7 F 0.333 0.667 0.222
8 F 0.667 0.333 0.778
9 F 0.710 0.855 0.751
10 F 0.855 0.145 0.249
11 F 0.855 0.710 0.249

=====

CeTm2F11: calculated powder XRD pattern (Cu Kα, 1.54184 Å), based on DFT lattice parameters and positions (PBE).

The 6 most intense peaks (2θ from 10° to 90°), sorted by position:
- 2θ 15.99, intensity 42
- 2θ 21.24, intensity 100
- 2θ 22.11, intensity 55
- 2θ 23.78, intensity 94
- 2θ 24.76, intensity 87
- 2θ 45.71, intensity 50

Atomic structure:
Lattice parameters (Å, degrees): 8.558 8.558 8.558 122.74 107.31 99.30
Positions (direct):
1 Ce 0.250 0.250 0.000
2 Ce 0.750 0.750 0.000
3 Tm 0.190 0.658 0.848
4 Tm 0.310 0.158 0.468
5 Tm 0.690 0.842 0.532
6 Tm 0.810 0.342 0.152
7 F 0.000 0.500 0.500
8 F 0.030 0.960 0.272
9 F 0.055 0.344 0.132
10 F 0.187 0.460 0.930
11 F 0.194 0.389 0.583
12 F 0.212 0.924 0.868
13 F 0.288 0.156 0.711
14 F 0.306 0.889 0.195
15 F 0.313 0.242 0.272
16 F 0.445 0.576 0.289
17 F 0.470 0.742 0.930
18 F 0.500 0.000 0.500
19 F 0.530 0.258 0.070
20 F 0.555 0.424 0.711
21 F 0.687 0.758 0.728
22 F 0.694 0.111 0.805
23 F 0.712 0.844 0.289
24 F 0.788 0.076 0.132
25 F 0.806 0.611 0.417
26 F 0.813 0.540 0.070
27 F 0.945 0.656 0.868
28 F 0.970 0.040 0.728

=====

CeU2F11: calculated powder XRD pattern (Cu Kα, 1.54184 Å), based on DFT lattice parameters and positions (PBE).

The 6 most intense peaks (2θ from 10° to 90°), sorted by position:
- 2θ 15.59, intensity 53
- 2θ 20.59, intensity 78
- 2θ 21.26, intensity 68
- 2θ 22.95, intensity 74
- 2θ 23.89, intensity 100
- 2θ 43.98, intensity 47

Atomic structure:
Lattice parameters (Å, degrees): 8.854 8.854 8.854 122.68 106.54 100.11
Positions (direct):
1 Ce 0.250 0.250 0.000
2 Ce 0.750 0.750 0.000
3 U 0.182 0.648 0.830
4 U 0.318 0.148 0.466
5 U 0.682 0.852 0.534
6 U 0.818 0.352 0.170
7 F 0.000 0.500 0.500
8 F 0.038 0.954 0.271
9 F 0.063 0.358 0.149
10 F 0.183 0.454 0.915
11 F 0.208 0.914 0.851
12 F 0.215 0.372 0.587
13 F 0.285 0.872 0.157
14 F 0.292 0.142 0.705
15 F 0.317 0.232 0.271
16 F 0.437 0.586 0.295
17 F 0.462 0.732 0.915
18 F 0.500 0.000 0.500
19 F 0.538 0.268 0.085
20 F 0.563 0.414 0.705
21 F 0.683 0.768 0.729
22 F 0.708 0.858 0.295
23 F 0.715 0.128 0.843
24 F 0.785 0.628 0.413
25 F 0.792 0.086 0.149
26 F 0.817 0.546 0.085
27 F 0.937 0.642 0.851
28 F 0.962 0.046 0.729